[1]
Simulated powder diffraction line list of YbNi6 for Cu Kα, from a crystal structure in Alexandria, relaxed with PBE.

Main lines, by angle (2θ = 10–90°):
(1 1 0), d = 4.403 Å, I = 3
(2 0 0), d = 3.113 Å, I = 43
(2 1 1), d = 2.542 Å, I = 100
(2 2 2), d = 1.797 Å, I = 6
(3 2 1), d = 1.664 Å, I = 54
(4 0 0), d = 1.557 Å, I = 18
(4 2 0), d = 1.392 Å, I = 15
(3 3 2), d = 1.327 Å, I = 12
(5 2 1), d = 1.137 Å, I = 15
(4 4 0), d = 1.101 Å, I = 11

Atomic structure:
```
data_YbNi6
_cell_length_a 6.226
_cell_length_b 6.226
_cell_length_c 6.226
_cell_angle_alpha 90.00
_cell_angle_beta 90.00
_cell_angle_gamma 90.00
_symmetry_space_group_name_H-M 'I m -3 m'
_symmetry_Int_Tables_number 229
_symmetry_space_group_name_Hall '-I 4 2 3'
loop_
_atom_site_label
_atom_site_fract_x
_atom_site_fract_y
_atom_site_fract_z
_atom_site_occupancy
Yb1 0.000 0.000 0.000 1
Ni1 0.000 0.250 0.500 1
```

[2]
Simulated powder diffraction line list of Zn4Ni for Cu Kα, from a crystal structure in Alexandria, relaxed with PBE.

Main lines, by angle (2θ = 10–90°):
(1 1 1), d = 2.196 Å, I = 100
(2 0 -3), d = 2.186 Å, I = 97
(3 1 -2), d = 1.940 Å, I = 69
(2 0 2), d = 1.821 Å, I = 25
(0 2 0), d = 1.377 Å, I = 11
(6 0 -4), d = 1.367 Å, I = 10
(1 1 -4), d = 1.328 Å, I = 32
(2 2 -3), d = 1.165 Å, I = 23
(5 1 -5), d = 1.161 Å, I = 21
(2 2 2), d = 1.098 Å, I = 9

Atomic structure:
```
data_Zn4Ni
_cell_length_a 8.976
_cell_length_b 2.753
_cell_length_c 6.568
_cell_angle_alpha 90.00
_cell_angle_beta 122.40
_cell_angle_gamma 90.00
_symmetry_space_group_name_H-M 'C 1 2/m 1'
_symmetry_Int_Tables_number 12
_symmetry_space_group_name_Hall '-C 2y'
loop_
_atom_site_label
_atom_site_fract_x
_atom_site_fract_y
_atom_site_fract_z
_atom_site_occupancy
Zn1 0.086 0.000 0.374 1
Zn2 0.215 0.500 0.807 1
Ni1 0.000 0.500 0.000 1
```

[3]
Simulated powder diffraction line list of Zn6Ni for Cu Kα, from a crystal structure in Alexandria, relaxed with PBE.

Main lines, by angle (2θ = 10–90°):
(0 2 2), d = 2.585 Å, I = 50
(1 1 3), d = 2.469 Å, I = 60
(3 1 1), d = 2.210 Å, I = 75
(0 2 3), d = 2.146 Å, I = 43
(2 2 2), d = 2.113 Å, I = 100
(1 3 0), d = 2.068 Å, I = 61
(3 1 2), d = 2.019 Å, I = 99
(1 1 4), d = 1.966 Å, I = 34
(2 0 4), d = 1.854 Å, I = 37
(0 4 4), d = 1.292 Å, I = 37

Atomic structure:
```
data_Zn6Ni
_cell_length_a 7.334
_cell_length_b 6.467
_cell_length_c 8.603
_cell_angle_alpha 90.00
_cell_angle_beta 90.00
_cell_angle_gamma 90.00
_symmetry_space_group_name_H-M 'C m c m'
_symmetry_Int_Tables_number 63
_symmetry_space_group_name_Hall '-C 2c 2'
loop_
_atom_site_label
_atom_site_fract_x
_atom_site_fract_y
_atom_site_fract_z
_atom_site_occupancy
Zn1 0.000 0.151 0.091 1
Zn2 0.178 0.500 0.000 1
Zn3 0.186 0.209 0.750 1
Ni1 0.000 0.467 0.250 1
```

[4]
Simulated powder diffraction line list of Zn7Ni3 for Cu Kα, from a crystal structure in Alexandria, relaxed with PBE.

Main lines, by angle (2θ = 10–90°):
(5 1 0), d = 2.162 Å, I = 100
(1 1 -2), d = 2.146 Å, I = 98
(6 0 -2), d = 1.897 Å, I = 32
(0 2 0), d = 1.888 Å, I = 33
(4 0 2), d = 1.815 Å, I = 27
(6 2 -2), d = 1.338 Å, I = 19
(4 2 2), d = 1.308 Å, I = 17
(11 1 -2), d = 1.142 Å, I = 11
(5 3 0), d = 1.136 Å, I = 21
(1 3 -2), d = 1.134 Å, I = 11

Atomic structure:
```
data_Zn7Ni3
_cell_length_a 13.567
_cell_length_b 3.777
_cell_length_c 5.222
_cell_angle_alpha 90.00
_cell_angle_beta 103.64
_cell_angle_gamma 90.00
_symmetry_space_group_name_H-M 'C 1 2/m 1'
_symmetry_Int_Tables_number 12
_symmetry_space_group_name_Hall '-C 2y'
loop_
_atom_site_label
_atom_site_fract_x
_atom_site_fract_y
_atom_site_fract_z
_atom_site_occupancy
Zn1 0.000 0.000 0.000 1
Zn2 0.099 0.500 0.311 1
Zn3 0.108 0.500 0.814 1
Zn4 0.203 0.000 0.621 1
Ni1 0.000 0.000 0.500 1
Ni2 0.194 0.000 0.109 1
```

[5]
Simulated powder diffraction line list of ZnNi for Cu Kα, from a crystal structure in Alexandria, relaxed with PBE.

Main lines, by angle (2θ = 10–90°):
(1 0 1), d = 2.267 Å, I = 30
(0 2 0), d = 2.126 Å, I = 43
(1 1 1), d = 2.000 Å, I = 100
(0 1 2), d = 1.929 Å, I = 52
(1 2 1), d = 1.551 Å, I = 17
(1 0 3), d = 1.269 Å, I = 14
(1 3 1), d = 1.202 Å, I = 17
(0 3 2), d = 1.186 Å, I = 9
(2 2 0), d = 1.128 Å, I = 10
(2 1 2), d = 1.095 Å, I = 15

Atomic structure:
```
data_ZnNi
_cell_length_a 2.660
_cell_length_b 4.253
_cell_length_c 4.330
_cell_angle_alpha 90.00
_cell_angle_beta 90.00
_cell_angle_gamma 90.00
_symmetry_space_group_name_H-M 'P m m n'
_symmetry_Int_Tables_number 59
loop_
_symmetry_equiv_pos_as_xyz
'x,y,z'
'-x,-y,-z'
'-x+1/2,-y+1/2,z'
'x+1/2,y+1/2,-z'
'x+1/2,-y,-z'
'-x+1/2,y,z'
'-x,y+1/2,-z'
'x,-y+1/2,z'
loop_
_atom_site_label
_atom_site_fract_x
_atom_site_fract_y
_atom_site_fract_z
_atom_site_occupancy
Zn1 0.250 0.250 0.096 1
Ni1 0.250 0.750 0.415 1
```

[6]
Simulated powder diffraction line list of Zn4Ni3 for Cu Kα, from a crystal structure in Alexandria, relaxed with PBE.

Main lines, by angle (2θ = 10–90°):
(1 0 3), d = 2.679 Å, I = 1
(1 0 5), d = 2.389 Å, I = 1
(1 0 7), d = 2.090 Å, I = 100
(1 1 0), d = 2.049 Å, I = 49
(1 0 11), d = 1.600 Å, I = 1
(0 0 14), d = 1.508 Å, I = 7
(2 0 0), d = 1.449 Å, I = 15
(1 0 15), d = 1.266 Å, I = 1
(1 1 14), d = 1.215 Å, I = 13
(2 1 7), d = 1.191 Å, I = 28

Atomic structure:
```
data_Zn4Ni3
_cell_length_a 2.898
_cell_length_b 2.898
_cell_length_c 21.117
_cell_angle_alpha 90.00
_cell_angle_beta 90.00
_cell_angle_gamma 90.00
_symmetry_space_group_name_H-M 'I 4/m m m'
_symmetry_Int_Tables_number 139
_symmetry_space_group_name_Hall '-I 4 2'
loop_
_atom_site_label
_atom_site_fract_x
_atom_site_fract_y
_atom_site_fract_z
_atom_site_occupancy
Zn1 0.000 0.000 0.069 1
Zn2 0.000 0.000 0.348 1
Ni1 0.000 0.000 0.217 1
Ni2 0.000 0.000 0.500 1
```